Entry 1:
# Li3Mn2Si2O8
Calculated X-ray diffraction stick pattern, Cu Kα, 1.54184 Å. Input: a cell relaxed with PBE+U.

Structure:
```
Li3Mn2Si2O8
1.0
5.0825 0.0000 0.0000
0.0000 10.8266 0.0000
-0.0156 0.0000 6.3485
Li Mn Si O
6 4 4 16
direct
0.0629 0.0000 0.2420
0.0746 0.9947 0.7417
0.4285 0.8248 0.2648
0.5715 0.3248 0.7352
0.9254 0.4947 0.2583
0.9371 0.5000 0.7580
0.0803 0.2535 0.4781
0.4442 0.5720 0.0178
0.5558 0.0720 0.9822
0.9197 0.7535 0.5219
0.0707 0.2457 0.9832
0.4159 0.5837 0.5116
0.5841 0.0837 0.4884
0.9293 0.7457 0.0168
0.0012 0.3252 0.1931
0.0374 0.8191 0.2283
0.0422 0.6009 0.0082
0.0923 0.5748 0.5101
0.3953 0.2317 0.9635
0.4703 0.0121 0.2728
0.4696 0.0148 0.7039
0.4796 0.2263 0.4929
0.5204 0.7263 0.5071
0.5297 0.5121 0.7272
0.5304 0.5148 0.2961
0.6047 0.7317 0.0365
0.9077 0.0748 0.4899
0.9578 0.1009 0.9918
0.9626 0.3191 0.7717
0.9988 0.8252 0.8069
```

Largest 8 diffraction maxima, by intensity, 2θ from 10° to 90°:
two_theta, I_rel
24.02, 100
16.37, 52
32.70, 46
35.32, 42
28.11, 41
33.10, 31
58.86, 28
30.38, 25

Entry 2:
# KHoW2O8
Calculated X-ray diffraction stick pattern, Cu Kα, 1.54184 Å. Input: a cell relaxed with PBE+U.

Structure:
```
KHoW2O8
1.0
5.5070 -5.3056 0.0000
5.5070 5.3056 0.0000
-4.8501 0.0000 5.6526
K Ho W O
2 2 4 16
direct
0.2103 0.7897 0.7500
0.7897 0.2103 0.2500
0.2240 0.7760 0.2500
0.7760 0.2240 0.7500
0.2990 0.3078 0.2865
0.3078 0.2990 0.7865
0.6922 0.7010 0.2135
0.7010 0.6922 0.7135
0.0391 0.2316 0.6914
0.0542 0.3589 0.1200
0.2316 0.0391 0.1914
0.2468 0.3762 0.5571
0.3589 0.0542 0.6200
0.3732 0.5956 0.0368
0.3762 0.2468 0.0571
0.4044 0.6268 0.4632
0.5956 0.3732 0.5368
0.6238 0.7532 0.9429
0.6268 0.4044 0.9632
0.6411 0.9458 0.3800
0.7532 0.6238 0.4429
0.7684 0.9609 0.8086
0.9458 0.6411 0.8800
0.9609 0.7684 0.3086
```

Largest 8 diffraction maxima, by intensity, 2θ from 10° to 90°:
two_theta, I_rel
27.16, 100
29.31, 99
31.66, 36
14.54, 34
16.71, 27
27.87, 24
33.25, 24
46.98, 23

Number 1 is which compound?
Li3Mn2Si2O8